No. 1
This entry pairs a crystal structure of Na2SO4 with its theoretical PXRD pattern. Radiation: Cu Kα. Structure: DFT lattice parameters and positions (GGA-PBE).
Lines closer than 0.1° are merged.

Cell and atoms:
abc: 5.710 9.060 7.027
angles: 90.00 90.00 90.00
Space group Cmcm (No. 63)
Inequivalent atoms, fractional coordinates:
Na 0.000 0.000 0.000 (multiplicity 4)
Na 0.000 0.315 0.250 (multiplicity 4)
S 0.000 0.348 0.750 (multiplicity 4)
O 0.000 0.254 0.578 (multiplicity 8)
O 0.213 0.446 0.750 (multiplicity 8)

Principal peaks in the range 2θ = 10–80°, low angle first:
Position (°2θ)  d/Å  Rel. int.  index
22.33  3.981  43  1 1 1
23.36  3.808  44  0 2 1
25.35  3.514  30  0 0 2
31.33  2.855  51  2 0 0
31.48  2.842  100  1 1 2
33.57  2.670  69  1 3 0
37.22  2.415  29  2 2 0
45.57  1.990  29  2 2 2
57.21  1.610  18  3 3 0
58.25  1.584  22  2 4 2

No. 2
This entry pairs a crystal structure of K2SnCl4O with its theoretical PXRD pattern. Radiation: Cu Kα. Structure: DFT lattice parameters and positions (GGA-PBE).
Lines closer than 0.1° are merged.

Cell and atoms:
abc: 8.584 12.029 4.171
angles: 90.00 90.00 90.00
Space group Pbam (No. 55)
Inequivalent atoms, fractional coordinates:
K 0.067 0.146 0.000 (multiplicity 4)
Sn 0.000 0.500 0.500 (multiplicity 2)
Cl 0.128 0.697 0.500 (multiplicity 4)
Cl 0.184 0.436 0.000 (multiplicity 4)
O 0.000 0.000 0.500 (multiplicity 2)

Principal peaks in the range 2θ = 10–80°, low angle first:
Position (°2θ)  d/Å  Rel. int.  index
12.67  6.987  100  1 1 0
14.73  6.014  42  0 2 0
24.50  3.633  43  1 3 0
24.86  3.581  80  1 1 1
30.80  2.903  47  2 1 1
33.46  2.678  69  2 2 1
36.85  2.439  38  0 4 1
38.89  2.316  49  3 1 1
44.79  2.023  37  4 2 0
50.18  1.818  36  2 6 0

No. 3
This entry pairs a crystal structure of KNd3 with its theoretical PXRD pattern. Radiation: Cu Kα. Structure: DFT lattice parameters and positions (GGA-PBE).
Lines closer than 0.1° are merged.

Cell and atoms:
abc: 5.332 5.332 11.019
angles: 90.00 90.00 90.00
Space group I4/mmm (No. 139)
Inequivalent atoms, fractional coordinates:
K 0.000 0.000 0.000 (multiplicity 2)
Nd 0.000 0.000 0.500 (multiplicity 2)
Nd 0.000 0.500 0.250 (multiplicity 4)

Principal peaks in the range 2θ = 10–80°, low angle first:
Position (°2θ)  d/Å  Rel. int.  index
18.49  4.800  13  1 0 1
28.69  3.112  100  1 1 2
32.50  2.755  18  0 0 4
33.61  2.666  33  2 0 0
47.46  1.916  25  2 0 4
48.27  1.885  12  2 2 0
55.67  1.651  15  1 1 6
57.13  1.612  28  3 1 2
59.41  1.556  13  2 2 4
76.73  1.242  12  3 1 6

No. 4
This entry pairs a crystal structure of GdAl6Cr6 with its theoretical PXRD pattern. Radiation: Cu Kα. Structure: DFT lattice parameters and positions (GGA-PBE).
Lines closer than 0.1° are merged.

Cell and atoms:
abc: 5.156 8.826 8.975
angles: 90.00 90.00 90.00
Space group Immm (No. 71)
Inequivalent atoms, fractional coordinates:
Gd 0.000 0.000 0.000 (multiplicity 2)
Al 0.000 0.000 0.334 (multiplicity 4)
Al 0.000 0.303 0.500 (multiplicity 4)
Al 0.000 0.346 0.000 (multiplicity 4)
Cr 0.000 0.500 0.258 (multiplicity 4)
Cr 0.250 0.250 0.250 (multiplicity 8)

Principal peaks in the range 2θ = 10–80°, low angle first:
Position (°2θ)  d/Å  Rel. int.  index
14.07  6.293  76  0 1 1
19.84  4.475  49  1 0 1
28.24  3.161  77  1 1 2
28.40  3.143  78  0 2 2
40.19  2.244  64  0 0 4
40.38  2.234  100  2 0 2
40.52  2.226  90  2 2 0
40.63  2.221  90  1 3 2
40.90  2.207  50  0 4 0
58.39  1.581  42  2 2 4

No. 5
This entry pairs a crystal structure of MgAl2Ga2Cu4As4O20 with its theoretical PXRD pattern. Radiation: Cu Kα. Structure: DFT lattice parameters and positions (GGA-PBE).
Lines closer than 0.1° are merged.

Cell and atoms:
abc: 5.630 7.647 10.503
angles: 90.06 90.49 102.80
Space group P1 (No. 1)
Inequivalent atoms, fractional coordinates:
Mg 0.000 0.000 0.000 (multiplicity 1)
Al 0.105 0.744 0.353 (multiplicity 1)
Al 0.510 0.005 0.850 (multiplicity 1)
Ga 0.012 0.009 0.699 (multiplicity 1)
Ga 0.606 0.743 0.215 (multiplicity 1)
Cu 0.142 0.414 0.177 (multiplicity 1)
Cu 0.475 0.340 0.677 (multiplicity 1)
Cu 0.638 0.411 0.388 (multiplicity 1)
Cu 0.970 0.372 0.882 (multiplicity 1)
As 0.110 0.150 0.419 (multiplicity 1)
As 0.513 0.612 0.927 (multiplicity 1)
As 0.594 0.148 0.140 (multiplicity 1)
As 0.995 0.601 0.635 (multiplicity 1)
O 0.123 0.445 0.712 (multiplicity 1)
O 0.134 0.977 0.316 (multiplicity 1)
O 0.177 0.709 0.514 (multiplicity 1)
O 0.244 0.505 0.000 (multiplicity 1)
O 0.287 0.655 0.247 (multiplicity 1)
O 0.327 0.104 0.752 (multiplicity 1)
O 0.388 0.047 0.011 (multiplicity 1)
O 0.391 0.240 0.487 (multiplicity 1)
O 0.440 0.770 0.828 (multiplicity 1)
O 0.490 0.318 0.207 (multiplicity 1)
O 0.637 0.988 0.245 (multiplicity 1)
O 0.639 0.453 0.854 (multiplicity 1)
O 0.713 0.502 0.571 (multiplicity 1)
O 0.722 0.753 0.040 (multiplicity 1)
O 0.803 0.642 0.313 (multiplicity 1)
O 0.833 0.071 0.839 (multiplicity 1)
O 0.881 0.217 0.068 (multiplicity 1)
O 0.910 0.058 0.540 (multiplicity 1)
O 0.954 0.767 0.740 (multiplicity 1)
O 0.990 0.308 0.340 (multiplicity 1)

Principal peaks in the range 2θ = 10–80°, low angle first:
Position (°2θ)  d/Å  Rel. int.  index
11.87  7.457  33  0 1 0
18.30  4.847  25  1 0 1
19.73  4.499  65  -1 1 1
27.12  3.288  100  -1 2 1
27.85  3.203  23  1 1 -2
28.10  3.176  58  1 1 2
32.63  2.745  32  2 0 0
34.14  2.626  23  0 0 4
36.15  2.484  34  1 2 -2
36.39  2.469  29  1 2 2